Diffraction record for BaCaNiF7. The X-ray diffraction stick pattern is theoretical, not measured: it uses a structure optimized by DFT (PBE+U) and λ = 1.5418 Å (Cu Kα).

Cell lengths 5.621, 10.940, 9.535 Å; angles 90.00, 92.43, 90.00 degrees
Fractional coordinates of all 40 atoms:
Ba  0.230  0.154  0.478
Ba  0.230  0.346  0.978
Ba  0.770  0.654  0.022
Ba  0.770  0.846  0.522
Ca  0.222  0.573  0.361
Ca  0.222  0.927  0.861
Ca  0.778  0.073  0.139
Ca  0.778  0.427  0.639
Ni  0.304  0.654  0.700
Ni  0.304  0.846  0.200
Ni  0.696  0.154  0.800
Ni  0.696  0.346  0.300
F  0.030  0.733  0.771
F  0.030  0.767  0.271
F  0.113  0.525  0.143
F  0.113  0.975  0.643
F  0.148  0.513  0.612
F  0.148  0.987  0.112
F  0.217  0.733  0.527
F  0.217  0.767  0.027
F  0.400  0.559  0.856
F  0.400  0.941  0.356
F  0.415  0.108  0.901
F  0.415  0.392  0.401
F  0.495  0.709  0.272
F  0.495  0.791  0.772
F  0.505  0.209  0.228
F  0.505  0.291  0.728
F  0.585  0.608  0.599
F  0.585  0.892  0.099
F  0.600  0.059  0.644
F  0.600  0.441  0.144
F  0.783  0.233  0.973
F  0.783  0.267  0.473
F  0.852  0.013  0.888
F  0.852  0.487  0.388
F  0.887  0.025  0.357
F  0.887  0.475  0.857
F  0.970  0.233  0.729
F  0.970  0.267  0.229

Principal peaks in the range 5 to 70 degrees two-theta, in order of rising 2θ:
d 3.662, 24.30°, intensity 1000, (1 2 -1)
d 3.587, 24.82°, intensity 396, (1 2 1)
d 3.514, 25.34°, intensity 426, (1 1 -2)
d 3.384, 26.34°, intensity 520, (1 1 2)
d 3.050, 29.29°, intensity 228, (0 1 3)
d 2.808, 31.87°, intensity 253, (2 0 0)
d 2.394, 37.56°, intensity 334, (0 3 3)
d 2.372, 37.93°, intensity 301, (2 0 2)
d 2.183, 41.36°, intensity 340, (0 2 4)
d 1.754, 52.15°, intensity 225, (3 2 -1)